Diffraction record for Er6Co30P19. The X-ray diffraction stick pattern is theoretical, not measured: it uses a PBE-relaxed structure and Cu Kα (weighted mean of Kα1 and Kα2).
Neutral-atom scattering factors, no anomalous dispersion.

a b c (Å): 14.6851 14.6851 3.5694
angles (deg): 90.00 90.00 120.00
Positions (direct):
Er: 0.0381 0.7639 0.0000
Er: 0.2361 0.2742 0.0000
Er: 0.4306 0.0592 0.5000
Er: 0.6286 0.5694 0.5000
Er: 0.7258 0.9619 0.0000
Er: 0.9408 0.3714 0.5000
Co: 0.0623 0.6219 0.5000
Co: 0.0676 0.2501 0.5000
Co: 0.1084 0.0146 0.0000
Co: 0.1086 0.3928 0.0000
Co: 0.1756 0.5371 0.5000
Co: 0.1825 0.9324 0.5000
Co: 0.2209 0.6916 0.0000
Co: 0.2597 0.1301 0.5000
Co: 0.2842 0.8914 0.0000
Co: 0.3084 0.5294 0.0000
Co: 0.3615 0.8244 0.5000
Co: 0.3781 0.4405 0.5000
Co: 0.4071 0.2024 0.0000
Co: 0.4629 0.6385 0.5000
Co: 0.4706 0.7791 0.0000
Co: 0.4830 0.4008 0.0000
Co: 0.5583 0.3188 0.5000
Co: 0.5595 0.9377 0.5000
Co: 0.5992 0.0822 0.0000
Co: 0.6072 0.7158 0.0000
Co: 0.6812 0.2395 0.5000
Co: 0.7499 0.8175 0.5000
Co: 0.7605 0.4417 0.5000
Co: 0.7953 0.5929 0.0000
Co: 0.7976 0.2047 0.0000
Co: 0.8699 0.1296 0.5000
Co: 0.8704 0.7403 0.5000
Co: 0.9062 0.8916 0.0000
Co: 0.9178 0.5170 0.0000
Co: 0.9854 0.0938 0.0000
P: 0.0159 0.8985 0.5000
P: 0.0779 0.5321 0.0000
P: 0.1015 0.1174 0.5000
P: 0.1975 0.7873 0.5000
P: 0.2127 0.4102 0.5000
P: 0.2706 0.0373 0.0000
P: 0.3333 0.6667 0.5000
P: 0.3954 0.2960 0.5000
P: 0.4542 0.9221 0.0000
P: 0.4679 0.5458 0.0000
P: 0.5656 0.2154 0.0000
P: 0.5898 0.8025 0.5000
P: 0.6498 0.4344 0.0000
P: 0.7040 0.0994 0.5000
P: 0.7667 0.7294 0.0000
P: 0.7846 0.3502 0.0000
P: 0.8826 0.9841 0.5000
P: 0.9006 0.6046 0.5000
P: 0.9627 0.2333 0.0000

Largest 12 diffraction maxima, by angle, 2θ = 10–90°:
hkl, Position (°2θ), I (rel.)
1 1 1, 27.79, 11
2 3 0, 30.64, 10
3 1 1, 35.79, 11
4 2 0, 37.42, 13
4 0 1, 37.90, 17
2 3 1, 39.91, 100
5 2 0, 44.49, 9
0 0 2, 51.18, 19
7 1 0, 54.47, 20
3 5 1, 56.87, 10
7 1 2, 78.01, 15
2 3 3, 88.81, 9



Diffraction record for La2MgS4. The X-ray diffraction stick pattern is theoretical, not measured: it uses a PBE-relaxed structure and Cu Kα (weighted mean of Kα1 and Kα2).
Neutral-atom scattering factors, no anomalous dispersion.

a b c (Å): 8.3827 7.1652 11.9087
angles (deg): 90.00 90.00 90.00
Positions (direct):
La: 0.0230 0.2500 0.1853
La: 0.0949 0.7500 0.4588
La: 0.4051 0.2500 0.9588
La: 0.4770 0.7500 0.6853
La: 0.5230 0.2500 0.3147
La: 0.5949 0.7500 0.0412
La: 0.9051 0.2500 0.5412
La: 0.9770 0.7500 0.8147
Mg: 0.1962 0.7500 0.0817
Mg: 0.3038 0.2500 0.5817
Mg: 0.6962 0.7500 0.4183
Mg: 0.8038 0.2500 0.9183
S: 0.0801 0.2500 0.9425
S: 0.1494 0.5084 0.6524
S: 0.1494 0.9916 0.6524
S: 0.1963 0.2500 0.3931
S: 0.3037 0.7500 0.8931
S: 0.3506 0.0084 0.1524
S: 0.3506 0.4916 0.1524
S: 0.4199 0.7500 0.4425
S: 0.5801 0.2500 0.5575
S: 0.6494 0.5084 0.8476
S: 0.6494 0.9916 0.8476
S: 0.6963 0.2500 0.1069
S: 0.8037 0.7500 0.6069
S: 0.8506 0.0084 0.3476
S: 0.8506 0.4916 0.3476
S: 0.9199 0.7500 0.0575

Largest 12 diffraction maxima, by angle, 2θ = 10–90°:
hkl, Position (°2θ), I (rel.)
0 1 1, 14.43, 43
1 1 2, 22.12, 50
0 2 0, 24.84, 100
0 1 3, 25.69, 62
2 1 2, 28.88, 28
1 2 2, 31.03, 19
2 2 0, 32.90, 32
2 2 1, 33.76, 23
3 1 1, 35.29, 52
1 2 3, 35.41, 61
0 1 5, 39.89, 28
3 3 1, 50.88, 21